Diffraction record for CoAg4F7. The X-ray powder pattern is calculated, not measured: it uses a cell relaxed with PBE+U and Cu Kα (λ = 1.5418 Å).

Most intense lines, 10 to 90 degrees two-theta, sorted by position:
two_theta, I_rel
23.17, 78
23.58, 52
25.90, 67
27.11, 47
28.17, 54
29.54, 100
30.83, 65
34.45, 75
46.60, 54
48.24, 73

Atomic structure:
Cell lengths 8.188, 8.188, 6.934 Å; angles 107.89, 107.89, 27.54 degrees
Fractional positions:
Co: 0.000 0.000 0.000
Ag: 0.293 0.293 0.740
Ag: 0.424 0.424 0.320
Ag: 0.576 0.576 0.680
Ag: 0.707 0.707 0.260
F: 0.004 0.004 0.287
F: 0.126 0.126 0.079
F: 0.295 0.295 0.379
F: 0.500 0.500 0.000
F: 0.705 0.705 0.621
F: 0.874 0.874 0.921
F: 0.996 0.996 0.713